Diffraction record for Sm4CdAg2Hg. The powder XRD pattern is computed, not measured: it uses a cell relaxed with PBE and CuKα.

Atomic structure:
a b c (Å): 5.3063 5.3063 26.1070
angles (deg): 90.00 90.00 120.00
Space group R-3m (No. 166, hexagonal axes)
Unique sites:
Sm 0.0000 0.0000 0.1236 x6
Sm 0.0000 0.0000 0.3740 x6
Cd 0.0000 0.0000 0.5000 x3
Ag 0.0000 0.0000 0.2464 x6
Hg 0.0000 0.0000 0.0000 x3

Peak list (10 most intense, 2θ = 15–90°, most intense first)
2θ (°)	intensity	hkl
33.73	100.0	1 1 0
60.39	27.6	3 0 0
48.45	17.9	2 0 8
60.18	9.0	1 0 16
80.99	7.9	3 1 8
80.82	7.8	2 1 16
71.06	5.7	2 2 0
70.83	5.5	0 2 16
20.47	1.3	0 1 2
19.61	1.2	1 0 1